1.
Calculated powder XRD pattern
Compound: V2O5
Radiation: Cu Kα (weighted mean of Kα1 and Kα2)
Structure: the PBE+U geometry in Alexandria

Principal peaks in the range 2θ = 5–70°, in order of rising 2θ:
2theta	I_rel	(hkl)
17.7	15	0 4 0
18.2	100	1 1 1
19.7	18	2 2 0
22.1	10	1 3 1
25.0	38	2 4 0
28.4	26	1 5 1
31.0	11	3 1 1
35.7	14	2 0 2
40.1	8	2 8 0
51.3	10	4 4 2

Atomic structure:
abc: 10.1150 20.0865 5.7975
angles: 90.00 90.00 90.00
Space group Fdd2 (No. 43)
Inequivalent atoms, fractional coordinates:
V1 0.0600 0.0785 0.0000 x16
O1 0.0000 0.0000 0.1088 x8
O2 0.0773 0.3667 0.4507 x16
O3 0.1150 0.3155 0.0089 x16

2.
Calculated powder XRD pattern
Compound: V2O5
Radiation: Cu Kα (weighted mean of Kα1 and Kα2)
Structure: the PBE+U geometry in Alexandria

Principal peaks in the range 2θ = 5–70°, in order of rising 2θ:
2theta	I_rel	(hkl)
18.3	35	1 1 0
22.6	100	1 2 0
26.9	35	0 0 1
30.4	13	0 4 0
32.8	25	1 1 1
35.4	10	1 2 1
49.5	11	1 6 0
49.8	13	2 3 1
59.4	10	2 5 1
60.7	10	1 2 2

Atomic structure:
abc: 5.3117 11.7683 3.3115
angles: 90.00 90.00 90.00
Space group Pbam (No. 55)
Inequivalent atoms, fractional coordinates:
V1 0.1586 0.1356 0.0000 x4
O1 0.0000 0.0000 0.0000 x2
O2 0.0826 0.7750 0.0000 x4
O3 0.2046 0.6155 0.5000 x4

3.
Calculated powder XRD pattern
Compound: V4O7
Radiation: Cu Kα (weighted mean of Kα1 and Kα2)
Structure: the PBE+U geometry in Alexandria

Principal peaks in the range 2θ = 5–70°, in order of rising 2θ:
2theta	I_rel	(hkl)
20.6	70	1 1 0
26.2	100	1 1 2
29.3	72	1 0 2
31.5	90	1 2 0
32.3	45	0 2 2
33.9	60	2 0 0
35.4	56	1 -2 0
36.8	41	-1 1 2
52.5	70	3 0 2
55.3	73	2 1 4

Atomic structure:
abc: 5.6793 6.9330 7.1083
angles: 64.46 69.93 74.94
Space group P-1 (No. 2)
Inequivalent atoms, fractional coordinates:
V1 0.1841 0.0914 0.2595 x2
V2 0.1910 0.0949 0.7548 x2
V3 0.2836 0.6199 0.5856 x2
V4 0.2860 0.6264 0.0832 x2
O1 0.0192 0.1715 0.5239 x2
O2 0.0823 0.3843 0.7603 x2
O3 0.1779 0.7777 0.7948 x2
O4 0.2004 0.9437 0.0635 x2
O5 0.3583 0.3328 0.0903 x2
O6 0.4012 0.5323 0.3387 x2
O7 0.4823 0.8876 0.3647 x2

4.
Calculated powder XRD pattern
Compound: VO2
Radiation: Cu Kα (weighted mean of Kα1 and Kα2)
Structure: the PBE+U geometry in Alexandria

Principal peaks in the range 2θ = 5–70°, in order of rising 2θ:
2theta	I_rel	(hkl)
28.0	100	1 1 0
35.6	57	1 0 1
40.0	7	2 0 0
41.0	20	1 1 1
54.6	61	2 1 1
57.8	18	2 2 0
61.0	10	0 0 2
65.4	10	3 1 0
68.4	12	1 1 2
69.8	21	3 0 1

Atomic structure:
abc: 4.5133 4.5133 3.0376
angles: 90.00 90.00 90.00
Space group P4_2/mnm (No. 136)
Inequivalent atoms, fractional coordinates:
V1 0.0000 0.0000 0.0000 x2
O1 0.2006 0.2006 0.5000 x4

5.
Calculated powder XRD pattern
Compound: V9O20
Radiation: Cu Kα (weighted mean of Kα1 and Kα2)
Structure: the PBE+U geometry in Alexandria

Principal peaks in the range 2θ = 5–70°, in order of rising 2θ:
2theta	I_rel	(hkl)
16.5	49	0 1 1
17.3	61	0 1 -1
17.7	75	1 0 1
17.8	83	1 1 0
23.6	58	-1 1 1
24.1	100	1 -1 1
29.4	79	0 2 -1
30.5	50	1 2 -1
31.2	54	2 1 1
38.6	52	1 -1 3

Atomic structure:
abc: 6.2753 6.7230 8.6783
angles: 87.43 89.77 79.21
Space group P1 (No. 1)
Inequivalent atoms, fractional coordinates:
V1 0.0000 0.0000 0.0000 x1
V2 0.0366 0.1885 0.2912 x1
V3 0.1110 0.9028 0.6427 x1
V4 0.2268 0.4514 0.0494 x1
V5 0.4658 0.5335 0.3480 x1
V6 0.5575 0.0882 0.8134 x1
V7 0.6418 0.5100 0.9253 x1
V8 0.8071 0.3085 0.5949 x1
V9 0.9056 0.6811 0.3059 x1
O1 0.0103 0.9126 0.2318 x1
O2 0.0348 0.6941 0.9587 x1
O3 0.0566 0.6838 0.5162 x1
O4 0.0723 0.1398 0.5169 x1
O5 0.1763 0.4551 0.2801 x1
O6 0.1832 0.1832 0.0869 x1
O7 0.2751 0.7316 0.4783 x1
O8 0.2956 0.9177 0.8279 x1
O9 0.4081 0.3674 0.8735 x1
O10 0.4645 0.5553 0.1162 x1
O11 0.4837 0.3797 0.5637 x1
O12 0.5227 0.7970 0.8166 x1
O13 0.5632 0.1579 0.5669 x1
O14 0.6378 0.7640 0.3481 x1
O15 0.6704 0.0557 0.0368 x1
O16 0.7715 0.2355 0.0502 x1
O17 0.7889 0.3963 0.3710 x1
O18 0.8290 0.4734 0.7427 x1
O19 0.8713 0.0599 0.7711 x1
O20 0.8926 0.5943 0.0640 x1

6.
Calculated powder XRD pattern
Compound: V6O13
Radiation: Cu Kα (weighted mean of Kα1 and Kα2)
Structure: the PBE+U geometry in Alexandria

Principal peaks in the range 2θ = 5–70°, in order of rising 2θ:
2theta	I_rel	(hkl)
15.0	40	2 0 0
17.6	28	0 0 2
24.6	100	1 1 0
26.5	70	0 0 3
29.8	34	4 0 -1
32.8	41	3 1 -1
45.0	29	0 0 5
45.1	30	6 0 -1
47.9	38	0 2 0
58.9	23	7 1 -1

Atomic structure:
abc: 12.0580 3.7951 10.2591
angles: 90.00 100.72 90.00
Space group C2/m (No. 12)
Inequivalent atoms, fractional coordinates:
V1 0.0870 0.0000 0.1361 x4
V2 0.1510 0.0000 0.5041 x4
V3 0.2154 0.0000 0.8668 x4
O1 0.0000 0.0000 0.5000 x2
O2 0.0610 0.0000 0.9112 x4
O3 0.1118 0.0000 0.3021 x4
O4 0.1182 0.5000 0.1157 x4
O5 0.1757 0.0000 0.6992 x4
O6 0.1875 0.5000 0.5011 x4
O7 0.2465 0.0000 0.0894 x4